For Ba2DyCu2S4, a GGA-PBE-relaxed structure gives the computed powder diffractogram in this record (copper Kα).
Neutral-atom scattering factors, no anomalous dispersion.

Largest 12 diffraction maxima, low angle first, 15 to 90 degrees two-theta:
d/Å  2θ/deg  I_rel
3.825  23.3  50
3.643  24.4  42
3.453  25.8  50
3.024  29.5  99
2.744  32.6  47
2.693  33.3  90
2.576  34.8  36
2.562  35.0  100
2.370  38.0  28
2.313  38.9  26
1.990  45.6  50
1.660  55.4  34

Atomic structure:
abc: 7.653 7.653 7.353
angles: 109.37 109.37 30.13
Element x y z (fractional)
Ba 0.135 0.135 0.065
Ba 0.865 0.865 0.935
Dy 0.000 0.000 0.500
Cu 0.321 0.321 0.508
Cu 0.679 0.679 0.492
S 0.200 0.200 0.681
S 0.478 0.478 0.743
S 0.522 0.522 0.257
S 0.800 0.800 0.319

=====

For Rb4SrF6, a GGA-PBE-relaxed structure gives the computed powder diffractogram in this record (copper Kα).
Neutral-atom scattering factors, no anomalous dispersion.

Largest 12 diffraction maxima, low angle first, 15 to 90 degrees two-theta:
d/Å  2θ/deg  I_rel
5.600  15.8  13
3.552  25.1  62
3.229  27.6  100
2.809  31.9  20
2.511  35.8  35
2.389  37.6  52
2.119  42.7  11
1.921  47.3  20
1.873  48.6  13
1.868  48.7  20
1.864  48.8  20
1.615  57.0  22

Atomic structure:
abc: 7.928 7.928 7.928
angles: 89.74 89.74 89.74
Element x y z (fractional)
Rb 0.103 0.750 0.397
Rb 0.250 0.250 0.250
Rb 0.250 0.603 0.897
Rb 0.397 0.103 0.750
Rb 0.603 0.897 0.250
Rb 0.750 0.397 0.103
Rb 0.750 0.750 0.750
Rb 0.897 0.250 0.603
Sr 0.000 0.000 0.000
Sr 0.500 0.500 0.500
F 0.055 0.924 0.710
F 0.076 0.290 0.945
F 0.210 0.424 0.555
F 0.290 0.945 0.076
F 0.424 0.555 0.210
F 0.445 0.790 0.576
F 0.555 0.210 0.424
F 0.576 0.445 0.790
F 0.710 0.055 0.924
F 0.790 0.576 0.445
F 0.924 0.710 0.055
F 0.945 0.076 0.290

=====

For Zn2Cd, a GGA-PBE-relaxed structure gives the computed powder diffractogram in this record (copper Kα).
Neutral-atom scattering factors, no anomalous dispersion.

Largest 12 diffraction maxima, low angle first, 15 to 90 degrees two-theta:
d/Å  2θ/deg  I_rel
3.159  28.3  9
2.561  35.0  100
2.246  40.2  72
2.107  42.9  56
1.996  45.4  25
1.670  55.0  11
1.449  64.3  32
1.340  70.3  20
1.281  74.0  9
1.236  77.2  9
1.200  80.0  16
1.195  80.3  9

Atomic structure:
abc: 6.678 3.992 8.149
angles: 90.00 90.00 90.00
Element x y z (fractional)
Zn 0.101 0.250 0.081
Zn 0.109 0.250 0.755
Zn 0.391 0.750 0.255
Zn 0.399 0.750 0.581
Zn 0.601 0.250 0.419
Zn 0.609 0.250 0.745
Zn 0.891 0.750 0.245
Zn 0.899 0.750 0.919
Cd 0.142 0.250 0.417
Cd 0.358 0.750 0.917
Cd 0.642 0.250 0.083
Cd 0.858 0.750 0.583

=====

For CoMoRu2, a GGA-PBE-relaxed structure gives the computed powder diffractogram in this record (copper Kα).
Neutral-atom scattering factors, no anomalous dispersion.

Largest 9 diffraction maxima, low angle first, 15 to 90 degrees two-theta:
d/Å  2θ/deg  I_rel
3.506  25.4  2
3.036  29.4  2
2.147  42.1  100
1.831  49.8  1
1.753  52.2  1
1.518  61.0  16
1.393  67.2  1
1.358  69.2  1
1.239  76.9  32

Atomic structure:
abc: 6.072 6.072 6.072
angles: 90.00 90.00 90.00
Element x y z (fractional)
Co 0.000 0.000 0.000
Co 0.000 0.500 0.500
Co 0.500 0.000 0.500
Co 0.500 0.500 0.000
Mo 0.000 0.000 0.500
Mo 0.000 0.500 0.000
Mo 0.500 0.000 0.000
Mo 0.500 0.500 0.500
Ru 0.250 0.250 0.250
Ru 0.250 0.250 0.750
Ru 0.250 0.750 0.250
Ru 0.250 0.750 0.750
Ru 0.750 0.250 0.250
Ru 0.750 0.250 0.750
Ru 0.750 0.750 0.250
Ru 0.750 0.750 0.750

=====

For CdGa2Sn2Au7, a GGA-PBE-relaxed structure gives the computed powder diffractogram in this record (copper Kα).
Neutral-atom scattering factors, no anomalous dispersion.

Largest 12 diffraction maxima, low angle first, 15 to 90 degrees two-theta:
d/Å  2θ/deg  I_rel
4.112  21.6  19
3.048  29.3  31
2.803  31.9  32
2.687  33.4  64
2.499  35.9  51
2.350  38.3  51
2.229  40.5  100
2.202  41.0  44
2.056  44.0  26
1.573  58.7  19
1.452  64.1  21
1.346  69.9  23

Atomic structure:
abc: 4.475 4.475 12.454
angles: 95.62 95.62 89.34
Element x y z (fractional)
Cd 0.000 0.000 0.000
Ga 0.454 0.454 0.722
Ga 0.546 0.546 0.278
Sn 0.050 0.050 0.325
Sn 0.950 0.950 0.675
Au 0.029 0.537 0.158
Au 0.286 0.286 0.527
Au 0.463 0.971 0.842
Au 0.500 0.500 0.000
Au 0.537 0.029 0.158
Au 0.714 0.714 0.473
Au 0.971 0.463 0.842

=====

For In4GaHg3, a GGA-PBE-relaxed structure gives the computed powder diffractogram in this record (copper Kα).
Neutral-atom scattering factors, no anomalous dispersion.

Largest 12 diffraction maxima, low angle first, 15 to 90 degrees two-theta:
d/Å  2θ/deg  I_rel
2.983  30.0  12
2.900  30.8  10
2.865  31.2  100
2.800  32.0  22
2.675  33.5  28
2.625  34.2  9
2.527  35.5  29
2.475  36.3  9
2.390  37.6  23
2.196  41.1  14
2.051  44.1  15
2.000  45.3  12

Atomic structure:
abc: 6.830 8.163 8.244
angles: 111.71 90.52 99.99
Element x y z (fractional)
In 0.046 0.397 0.128
In 0.104 0.220 0.714
In 0.265 0.153 0.327
In 0.410 0.769 0.097
In 0.590 0.231 0.903
In 0.735 0.847 0.673
In 0.896 0.780 0.286
In 0.954 0.603 0.872
Ga 0.197 0.536 0.547
Ga 0.803 0.464 0.453
Hg 0.208 0.971 0.906
Hg 0.305 0.866 0.508
Hg 0.492 0.496 0.250
Hg 0.508 0.504 0.750
Hg 0.695 0.134 0.492
Hg 0.792 0.029 0.094

=====

For BaTl9Cd2, a GGA-PBE-relaxed structure gives the computed powder diffractogram in this record (copper Kα).
Neutral-atom scattering factors, no anomalous dispersion.

Largest 12 diffraction maxima, low angle first, 15 to 90 degrees two-theta:
d/Å  2θ/deg  I_rel
3.498  25.5  15
3.082  29.0  23
2.923  30.6  92
2.674  33.5  100
2.565  35.0  44
2.389  37.7  14
1.973  46.0  24
1.884  48.3  15
1.663  55.2  16
1.588  58.1  24
1.540  60.1  38
1.412  66.2  16

Atomic structure:
abc: 10.697 10.697 3.769
angles: 90.00 90.00 120.00
Element x y z (fractional)
Ba 0.000 0.000 0.000
Tl 0.000 0.500 0.000
Tl 0.185 0.370 0.500
Tl 0.185 0.815 0.500
Tl 0.370 0.185 0.500
Tl 0.500 0.000 0.000
Tl 0.500 0.500 0.000
Tl 0.630 0.815 0.500
Tl 0.815 0.185 0.500
Tl 0.815 0.630 0.500
Cd 0.333 0.667 0.000
Cd 0.667 0.333 0.000

=====

For Li7AgAu2, a GGA-PBE-relaxed structure gives the computed powder diffractogram in this record (copper Kα).
Neutral-atom scattering factors, no anomalous dispersion.

Largest 12 diffraction maxima, low angle first, 15 to 90 degrees two-theta:
d/Å  2θ/deg  I_rel
4.939  18.0  23
3.602  24.7  100
3.045  29.3  43
2.507  35.8  28
2.233  40.4  33
2.082  43.5  27
2.035  44.5  14
1.898  47.9  17
1.848  49.3  13
1.480  62.8  14
1.446  64.4  14
1.258  75.6  11

Atomic structure:
abc: 4.466 4.466 9.879
angles: 90.00 90.00 120.00
Element x y z (fractional)
Li 0.000 0.000 0.000
Li 0.000 0.000 0.245
Li 0.000 0.000 0.502
Li 0.333 0.667 0.058
Li 0.333 0.667 0.660
Li 0.667 0.333 0.423
Li 0.667 0.333 0.844
Ag 0.333 0.667 0.341
Au 0.000 0.000 0.751
Au 0.667 0.333 0.141

=====

For DyZr3Rh4, a GGA-PBE-relaxed structure gives the computed powder diffractogram in this record (copper Kα).
Neutral-atom scattering factors, no anomalous dispersion.

Largest 12 diffraction maxima, low angle first, 15 to 90 degrees two-theta:
d/Å  2θ/deg  I_rel
4.012  22.2  2
3.843  23.1  2
3.060  29.2  4
2.570  34.9  3
2.361  38.1  98
2.352  38.3  100
1.666  55.1  33
1.365  68.8  15
1.360  69.1  33
1.358  69.2  17
1.181  81.5  10
1.176  81.9  11

Atomic structure:
abc: 8.192 8.192 8.192
angles: 33.36 33.36 33.36
Element x y z (fractional)
Dy 0.000 0.000 0.000
Zr 0.249 0.249 0.249
Zr 0.500 0.500 0.500
Zr 0.751 0.751 0.751
Rh 0.129 0.129 0.129
Rh 0.380 0.380 0.380
Rh 0.620 0.620 0.620
Rh 0.871 0.871 0.871